(1)
LaTaZnFeO6: calculated powder XRD pattern (Cu Ka), based on a DFT-relaxed cell (PBE+U, the Materials Project).

Peak list (10 most intense, 15 to 90 degrees two-theta, sorted by position)
| (hkl) | two_theta | I_rel |
| --- | --- | --- |
| 0 1 1 | 18.59 | 46 |
| 0 1 -2 | 26.98 | 27 |
| 0 2 0 | 29.90 | 36 |
| 1 1 -2 | 31.52 | 100 |
| 1 1 2 | 31.79 | 98 |
| 2 0 0 | 32.83 | 49 |
| 1 2 0 | 34.21 | 38 |
| 2 2 0 | 45.00 | 32 |
| 0 0 4 | 45.76 | 31 |
| 3 1 2 | 58.15 | 29 |

Atomic structure:
a = 5.456 Å, b = 5.977 Å, c = 7.933 Å
α = 90.00°, β = 90.65°, γ = 90.08°
Space group P1 (No. 1)
One atom of each set of equivalent atoms:
La 0.000 0.000 0.000 (multiplicity 1)
La 0.500 0.362 0.500 (multiplicity 1)
Ta 0.478 0.895 0.744 (multiplicity 1)
Ta 0.978 0.467 0.244 (multiplicity 1)
Zn 0.495 0.317 0.995 (multiplicity 1)
Zn 0.995 0.045 0.495 (multiplicity 1)
Fe 0.489 0.909 0.253 (multiplicity 1)
Fe 0.988 0.453 0.753 (multiplicity 1)
O 0.068 0.422 0.484 (multiplicity 1)
O 0.159 0.730 0.200 (multiplicity 1)
O 0.175 0.748 0.800 (multiplicity 1)
O 0.269 0.256 0.187 (multiplicity 1)
O 0.285 0.223 0.800 (multiplicity 1)
O 0.344 0.966 0.509 (multiplicity 1)
O 0.568 0.940 0.984 (multiplicity 1)
O 0.659 0.632 0.701 (multiplicity 1)
O 0.676 0.614 0.300 (multiplicity 1)
O 0.769 0.107 0.687 (multiplicity 1)
O 0.785 0.138 0.301 (multiplicity 1)
O 0.844 0.396 0.009 (multiplicity 1)

***

(2)
La5Ti4FeO17: calculated powder XRD pattern (Cu Ka), based on a DFT-relaxed cell (PBE+U, the Materials Project).

Peak list (10 most intense, 15 to 90 degrees two-theta, sorted by position)
| (hkl) | two_theta | I_rel |
| --- | --- | --- |
| 1 5 0 | 21.33 | 46 |
| 0 10 0 | 28.36 | 46 |
| 1 4 1 | 29.89 | 100 |
| 2 0 0 | 32.22 | 43 |
| 1 6 1 | 32.54 | 64 |
| 2 1 1 | 39.69 | 24 |
| 2 10 0 | 43.45 | 31 |
| 0 0 2 | 45.67 | 37 |
| 2 12 0 | 47.67 | 30 |
| 0 10 2 | 54.64 | 27 |

Atomic structure:
a = 5.557 Å, b = 31.470 Å, c = 3.973 Å
α = 90.00°, β = 90.00°, γ = 90.00°
Space group Pnnm (No. 58)
One atom of each set of equivalent atoms:
La 0.000 0.000 0.000 (multiplicity 2)
La 0.020 0.410 0.500 (multiplicity 4)
La 0.048 0.787 0.000 (multiplicity 4)
Ti 0.005 0.092 0.500 (multiplicity 4)
Ti 0.015 0.678 0.000 (multiplicity 4)
Fe 0.000 0.500 0.000 (multiplicity 2)
O 0.000 0.500 0.500 (multiplicity 2)
O 0.006 0.084 0.000 (multiplicity 4)
O 0.011 0.328 0.500 (multiplicity 4)
O 0.190 0.621 0.000 (multiplicity 4)
O 0.196 0.035 0.500 (multiplicity 4)
O 0.202 0.862 0.500 (multiplicity 4)
O 0.206 0.276 0.000 (multiplicity 4)
O 0.207 0.446 0.000 (multiplicity 4)
O 0.220 0.213 0.500 (multiplicity 4)